For PuSi2Ru4, a DFT-relaxed cell (PBE, Alexandria) gives the simulated powder X-ray diffraction pattern in this record (Cu Kα).
No peak broadening, texture or thermal motion is included.

The 10 most intense peaks (5 to 70 degrees two-theta), in order of falling intensity:
| Position (°2θ) | intensity |
| --- | --- |
| 35.34 | 100.0 |
| 37.84 | 45.6 |
| 41.18 | 23.5 |
| 61.76 | 23.5 |
| 66.72 | 22.6 |
| 23.67 | 20.2 |
| 44.72 | 19.4 |
| 46.89 | 19.3 |
| 25.87 | 17.5 |
| 55.71 | 17.5 |

Atomic structure:
Unit cell a=7.5193 b=7.5193 c=3.8750 alpha=90.00 beta=90.00 gamma=90.00
Element x y z (fractional)
Pu (0.0000, 0.0000, 0.0000)
Pu (0.5000, 0.5000, 0.5000)
Si (0.2195, 0.2195, 0.5000)
Si (0.2805, 0.7195, 0.0000)
Si (0.7195, 0.2805, 0.0000)
Si (0.7805, 0.7805, 0.5000)
Ru (0.0789, 0.6585, 0.5000)
Ru (0.1585, 0.4211, 0.0000)
Ru (0.3415, 0.9211, 0.5000)
Ru (0.4211, 0.1585, 0.0000)
Ru (0.5789, 0.8415, 0.0000)
Ru (0.6585, 0.0789, 0.5000)
Ru (0.8415, 0.5789, 0.0000)
Ru (0.9211, 0.3415, 0.5000)

For Sc6Fe7, a DFT-relaxed cell (PBE, Alexandria) gives the simulated powder X-ray diffraction pattern in this record (Cu Kα).
No peak broadening, texture or thermal motion is included.

The 10 most intense peaks (5 to 70 degrees two-theta), in order of falling intensity:
| Position (°2θ) | intensity |
| --- | --- |
| 40.77 | 100.0 |
| 44.67 | 86.5 |
| 40.98 | 64.2 |
| 41.65 | 55.9 |
| 38.13 | 50.1 |
| 9.44 | 38.8 |
| 43.56 | 36.8 |
| 35.75 | 35.8 |
| 38.45 | 30.1 |
| 46.40 | 25.9 |

Atomic structure:
Unit cell a=9.8036 b=9.8036 c=9.8036 alpha=29.69 beta=29.69 gamma=29.69
Element x y z (fractional)
Sc (0.0519, 0.0519, 0.0519)
Sc (0.1522, 0.1522, 0.1522)
Sc (0.3330, 0.3330, 0.3330)
Sc (0.6670, 0.6670, 0.6670)
Sc (0.8478, 0.8478, 0.8478)
Sc (0.9481, 0.9481, 0.9481)
Fe (0.0939, 0.5944, 0.5944)
Fe (0.4056, 0.4056, 0.9061)
Fe (0.4056, 0.9061, 0.4056)
Fe (0.5000, 0.5000, 0.5000)
Fe (0.5944, 0.0939, 0.5944)
Fe (0.5944, 0.5944, 0.0939)
Fe (0.9061, 0.4056, 0.4056)

For U2PSe3, a DFT-relaxed cell (PBE, Alexandria) gives the simulated powder X-ray diffraction pattern in this record (Cu Kα).
No peak broadening, texture or thermal motion is included.

The 10 most intense peaks (5 to 70 degrees two-theta), in order of falling intensity:
| Position (°2θ) | intensity |
| --- | --- |
| 24.79 | 100.0 |
| 38.69 | 96.7 |
| 39.87 | 74.6 |
| 31.71 | 62.0 |
| 45.46 | 47.9 |
| 62.04 | 41.9 |
| 21.59 | 38.9 |
| 52.47 | 28.4 |
| 33.57 | 27.6 |
| 60.86 | 24.4 |

Atomic structure:
Unit cell a=3.9904 b=3.9904 c=8.2330 alpha=90.00 beta=90.00 gamma=90.00
Element x y z (fractional)
U (0.0000, 0.5000, 0.2360)
U (0.5000, 0.0000, 0.7640)
P (0.0000, 0.0000, 0.5000)
Se (0.0000, 0.5000, 0.8644)
Se (0.5000, 0.0000, 0.1356)
Se (0.5000, 0.5000, 0.5000)